# UMnPbO5
Simulated powder diffraction line list, a wavelength of 1.5418 Å. Input: the GGA+U geometry in Alexandria.

The 8 most intense peaks (10 to 90 degrees two-theta), sorted by position:
2θ (°), I (rel.)
16.1, 45
23.5, 66
27.1, 42
30.2, 100
32.5, 28
34.0, 21
38.2, 24
53.0, 24

Structural model:
```
16
Lattice="3.6904 -4.9802 0.0000 3.6904 4.9802 0.0000 -3.6635 0.0000 7.3577" Properties=species:S:1:pos:R:3 pbc="T T T"
U 1.8452 2.4901 0.0000
U 0.0134 -2.4901 3.6788
Mn 0.9428 4.3961 5.5182
Mn 2.7745 -4.3961 1.8394
Pb 0.9428 0.6145 5.5182
Pb 2.7745 -0.6145 1.8394
O -0.0225 3.0350 6.7036
O -1.4273 0.5146 6.6479
O 1.9080 3.0350 4.3329
O 0.4045 -0.5146 2.9691
O 2.7745 1.7749 1.8394
O 0.9428 -1.7749 5.5182
O 3.3128 0.5146 4.3886
O 1.8093 -3.0350 3.0247
O 5.1445 -0.5146 0.7097
O 3.7397 -3.0350 0.6541
```